Structure and simulated XRD peak list of DySc3Hg4 (a cell relaxed with GGA-PBE; a wavelength of 1.5418 Å).
Lines closer than 0.1° are merged.

Atomic structure:
Cell lengths 5.0138, 5.0138, 7.2587 Å; angles 90.00, 90.00, 90.00 degrees
Space group P4/mmm (No. 123)
One atom of each set of equivalent atoms:
Dy  0.0000  0.0000  0.0000
Sc  0.0000  0.0000  0.5000
Sc  0.5000  0.5000  0.0000
Sc  0.5000  0.5000  0.5000
Hg  0.0000  0.5000  0.2622

Peak list (10 most intense, 5° ≤ 2θ ≤ 70°, by angle)
hkl, 2θ/deg, d (Å), I (rel.)
0 0 2, 24.53, 3.629, 13
1 1 0, 25.12, 3.545, 25
1 1 2, 35.39, 2.536, 100
2 0 0, 35.82, 2.507, 49
2 0 2, 43.89, 2.063, 12
0 0 4, 50.28, 1.815, 9
2 2 0, 51.56, 1.773, 17
3 1 0, 58.19, 1.586, 6
2 0 4, 63.26, 1.470, 18
3 1 2, 64.09, 1.453, 36